# Ca2FeP2O12
Computed X-ray powder pattern, Cu Kα X-rays. Input: a DFT-relaxed cell (PBE+U, Alexandria).
Lines closer than 0.1° are merged.

Structural model:
```
Ca2FeP2O12
1.0
5.885 0.000 0.000
1.227 6.436 0.000
1.684 1.302 6.616
Ca Fe P O
2 1 2 12
direct
0.147 0.192 0.282
0.853 0.808 0.718
0.500 0.500 0.500
0.300 0.080 0.768
0.700 0.920 0.232
0.128 0.065 0.638
0.175 0.184 0.948
0.214 0.571 0.654
0.280 0.481 0.365
0.439 0.861 0.832
0.490 0.790 0.365
0.510 0.210 0.635
0.561 0.139 0.168
0.720 0.519 0.635
0.786 0.429 0.346
0.825 0.816 0.052
0.872 0.935 0.362
```

Largest 6 diffraction maxima, in order of falling intensity, 5 to 70 degrees two-theta:
d = 6.616 Å, I = 100, hkl 0 0 1; d = 3.947 Å, I = 69, hkl 1 -1 0; d = 3.176 Å, I = 62, hkl 1 1 2; d = 4.182 Å, I = 55, hkl 0 1 -1; d = 2.936 Å, I = 48, hkl 1 2 0; d = 3.353 Å, I = 48, hkl -1 1 1